# 1
For Sr3Sc4O9, a DFT-relaxed cell (GGA-PBE, Alexandria) gives the simulated powder X-ray diffraction pattern in this record (Cu Kα).

Top 6 peaks for 2θ from 10° to 80°, by angle:
2θ (°)	I (rel.)	hkl
25.95	303	0 1 5
31.28	1000	1 1 0
31.91	791	1 0 7
45.29	549	0 2 7
55.68	251	3 0 0
56.07	334	2 1 7

Cell and atoms:
Lattice parameters (Å, degrees): 5.7185 5.7185 23.8244 90.00 90.00 120.00
Space group R3 (No. 146, hexagonal axes)
Symmetry-distinct sites (fractional):
Sr1 0.0000 0.0000 0.0000 (multiplicity 3)
Sr2 0.0000 0.0000 0.1691 (multiplicity 3)
Sr3 0.0000 0.0000 0.5934 (multiplicity 3)
Sc1 0.0000 0.0000 0.3020 (multiplicity 3)
Sc2 0.0000 0.0000 0.4278 (multiplicity 3)
Sc3 0.0000 0.0000 0.7411 (multiplicity 3)
Sc4 0.0000 0.0000 0.8658 (multiplicity 3)
O1 0.0016 0.4381 0.5839 (multiplicity 9)
O2 0.0077 0.5619 0.0256 (multiplicity 9)
O3 0.1038 0.7569 0.4723 (multiplicity 9)


# 2
For Ge2Bi2Te7, a DFT-relaxed cell (GGA-PBE, Alexandria) gives the simulated powder X-ray diffraction pattern in this record (Cu Kα).

Top 6 peaks for 2θ from 10° to 80°, by angle:
2θ (°)	I (rel.)	hkl
19.76	394	2 0 -1
21.27	1000	0 2 1
26.89	594	2 2 1
30.78	398	4 0 0
32.72	740	0 4 0
34.83	555	2 2 -2

Cell and atoms:
Lattice parameters (Å, degrees): 11.6536 10.9474 6.4825 90.00 94.33 90.00
Space group C2/m (No. 12)
Symmetry-distinct sites (fractional):
Ge1 0.2242 0.0000 0.4341 (multiplicity 4)
Bi1 0.0000 0.2883 0.0000 (multiplicity 4)
Te1 0.0000 0.0000 0.5000 (multiplicity 2)
Te2 0.0920 0.5000 0.2544 (multiplicity 4)
Te3 0.2336 0.2839 0.7543 (multiplicity 8)


# 3
For MnAlSe3, a DFT-relaxed cell (GGA-PBE, Alexandria) gives the simulated powder X-ray diffraction pattern in this record (Cu Kα).

Top 6 peaks for 2θ from 10° to 80°, by angle:
2θ (°)	I (rel.)	hkl
30.86	979	6 0 0
31.11	1000	3 1 -1
31.55	506	4 0 -2
33.30	912	3 1 1
36.88	457	5 1 -1
48.40	910	1 1 -3

Cell and atoms:
Lattice parameters (Å, degrees): 17.5920 3.6227 6.6059 90.00 99.31 90.00
Space group Cm (No. 8)
Symmetry-distinct sites (fractional):
Mn1 0.0000 0.0000 0.0000 (multiplicity 2)
Mn2 0.1115 0.5000 0.1719 (multiplicity 2)
Al1 0.3153 0.5000 0.8865 (multiplicity 2)
Al2 0.3213 0.0000 0.4586 (multiplicity 2)
Se1 0.0601 0.5000 0.8299 (multiplicity 2)
Se2 0.0648 0.0000 0.3461 (multiplicity 2)
Se3 0.2322 0.0000 0.7157 (multiplicity 2)
Se4 0.2545 0.5000 0.2214 (multiplicity 2)
Se5 0.4081 0.5000 0.6283 (multiplicity 2)
Se6 0.4097 0.0000 0.1109 (multiplicity 2)


# 4
For Zn9IrRh2, a DFT-relaxed cell (GGA-PBE, Alexandria) gives the simulated powder X-ray diffraction pattern in this record (Cu Kα).

Top 6 peaks for 2θ from 10° to 80°, by angle:
2θ (°)	I (rel.)	hkl
40.22	526	1 -2 0
40.64	1000	0 1 3
40.95	502	2 0 0
45.15	375	1 2 0
47.48	345	1 -1 3
49.05	282	-2 1 3

Cell and atoms:
Lattice parameters (Å, degrees): 4.6074 4.8650 7.9955 90.95 105.21 96.99
Space group P-1 (No. 2)
Symmetry-distinct sites (fractional):
Zn1 0.0000 0.0000 0.0000 (multiplicity 1)
Zn2 0.0056 0.0064 0.6632 (multiplicity 2)
Zn3 0.0121 0.4920 0.8382 (multiplicity 2)
Zn4 0.4905 0.7456 0.7613 (multiplicity 2)
Zn5 0.4952 0.7377 0.4196 (multiplicity 2)
Ir1 0.0000 0.5000 0.5000 (multiplicity 1)
Rh1 0.4920 0.7534 0.0974 (multiplicity 2)


# 5
For NaCu2PS4, a DFT-relaxed cell (GGA-PBE, Alexandria) gives the simulated powder X-ray diffraction pattern in this record (Cu Kα).

Top 6 peaks for 2θ from 10° to 80°, by angle:
2θ (°)	I (rel.)	hkl
19.35	122	0 0 2
29.20	1000	1 1 2
44.13	237	2 2 0
50.74	336	2 0 4
53.80	283	3 1 2
65.10	99	1 1 6

Cell and atoms:
Lattice parameters (Å, degrees): 5.8040 5.8040 9.1739 90.00 90.00 90.00
Space group I-42m (No. 121)
Symmetry-distinct sites (fractional):
Na1 0.0000 0.0000 0.0000 (multiplicity 2)
Cu1 0.0000 0.5000 0.2500 (multiplicity 4)
P1 0.0000 0.0000 0.5000 (multiplicity 2)
S1 0.2043 0.2043 0.6341 (multiplicity 8)


# 6
For Na4TbNp3Te8, a DFT-relaxed cell (GGA-PBE, Alexandria) gives the simulated powder X-ray diffraction pattern in this record (Cu Kα).

Top 6 peaks for 2θ from 10° to 80°, by angle:
2θ (°)	I (rel.)	hkl
11.78	456	0 0 3
23.26	213	0 2 1
27.91	1000	0 2 4
39.53	385	2 0 8
40.25	380	2 2 0
49.69	205	4 0 4

Cell and atoms:
Lattice parameters (Å, degrees): 8.9628 8.9628 22.5387 90.00 90.00 120.00
Space group R-3m (No. 166, hexagonal axes)
Symmetry-distinct sites (fractional):
Na1 0.0000 0.0000 0.0000 (multiplicity 3)
Na2 0.0000 0.5000 0.0000 (multiplicity 9)
Tb1 0.0000 0.0000 0.5000 (multiplicity 3)
Np1 0.0000 0.5000 0.5000 (multiplicity 9)
Te1 0.0000 0.0000 0.2444 (multiplicity 6)
Te2 0.0025 0.5013 0.2448 (multiplicity 18)